Entry 1:
For V2O3F, a GGA+U-relaxed structure gives the simulated X-ray diffraction stick pattern in this record (copper Kα).
Neutral-atom scattering factors, no anomalous dispersion.

Structural model:
a = 9.8919 Å, b = 9.8919 Å, c = 4.7043 Å
α = 93.08°, β = 93.08°, γ = 35.34°
Element x y z (fractional)
V 0.0000 0.0000 0.0000
V 0.1162 0.6353 0.4847
V 0.2631 0.2631 0.9474
V 0.3647 0.8838 0.5153
V 0.5000 0.5000 0.0000
V 0.6353 0.1162 0.4847
V 0.7369 0.7369 0.0526
V 0.8838 0.3647 0.5153
O 0.0474 0.5481 0.1891
O 0.0749 0.0749 0.7018
O 0.2000 0.7040 0.8048
O 0.2960 0.8000 0.1952
O 0.3282 0.3282 0.6868
O 0.4519 0.9526 0.8109
O 0.5481 0.0474 0.1891
O 0.6718 0.6718 0.3132
O 0.7040 0.2000 0.8048
O 0.8000 0.2960 0.1952
O 0.9251 0.9251 0.2982
O 0.9526 0.4519 0.8109
F 0.1757 0.1757 0.3019
F 0.4252 0.4252 0.2899
F 0.5748 0.5748 0.7101
F 0.8243 0.8243 0.6981

Main lines, sorted by position (5° ≤ 2θ ≤ 70°):
2theta  Rel. int.
26.04  92
27.58  100
35.48  89
39.95  24
41.02  18
52.31  51
53.56  15
54.05  55
56.94  16
61.80  17
67.36  19
67.47  18


Entry 2:
For VOF3, a GGA+U-relaxed structure gives the simulated X-ray diffraction stick pattern in this record (copper Kα).
Neutral-atom scattering factors, no anomalous dispersion.

Structural model:
a = 5.2268 Å, b = 5.8578 Å, c = 10.1157 Å
α = 90.00°, β = 90.00°, γ = 90.00°
Element x y z (fractional)
V 0.2238 0.1157 0.1042
V 0.2762 0.8843 0.6042
V 0.7238 0.3843 0.8958
V 0.7762 0.6157 0.3958
O 0.1188 0.6879 0.5226
O 0.3812 0.3121 0.0226
O 0.6188 0.8121 0.4774
O 0.8812 0.1879 0.9774
F 0.0068 0.2312 0.2222
F 0.0476 0.9769 0.7193
F 0.2136 0.8623 0.0113
F 0.2864 0.1377 0.5113
F 0.4524 0.0231 0.2193
F 0.4932 0.7688 0.7222
F 0.5068 0.2688 0.7778
F 0.5476 0.5231 0.2807
F 0.7136 0.6377 0.9887
F 0.7864 0.3623 0.4887
F 0.9524 0.4769 0.7807
F 0.9932 0.7312 0.2778

Main lines, sorted by position (5° ≤ 2θ ≤ 70°):
2theta  Rel. int.
17.50  56
22.80  73
23.23  52
24.48  100
31.81  16
35.18  20
36.26  21
38.78  25
41.85  12
44.49  27
54.34  12
58.16  21


Entry 3:
For V4O7F5, a GGA+U-relaxed structure gives the simulated X-ray diffraction stick pattern in this record (copper Kα).
Neutral-atom scattering factors, no anomalous dispersion.

Structural model:
a = 5.1854 Å, b = 5.3515 Å, c = 7.4060 Å
α = 92.77°, β = 90.24°, γ = 90.56°
Element x y z (fractional)
V 0.0000 0.0000 0.0000
V 0.0015 0.9904 0.5103
V 0.4969 0.4903 0.0208
V 0.5649 0.4883 0.5165
O 0.3248 0.2347 0.9552
O 0.4464 0.5218 0.2423
O 0.6172 0.5153 0.7376
O 0.7467 0.8145 0.0317
O 0.7482 0.2328 0.4510
O 0.8168 0.7342 0.4500
O 0.9544 0.0197 0.7348
F 0.1259 0.0244 0.2504
F 0.2409 0.3267 0.5334
F 0.2479 0.7276 0.9438
F 0.3235 0.8258 0.5326
F 0.8263 0.3268 0.0430

Main lines, sorted by position (5° ≤ 2θ ≤ 70°):
2theta  Rel. int.
23.79  48
24.05  100
33.56  22
34.61  6
40.19  7
40.41  7
40.57  7
48.69  10
49.24  18
54.28  10
54.63  15
62.42  6


Entry 4:
For V6O7F5, a GGA+U-relaxed structure gives the simulated X-ray diffraction stick pattern in this record (copper Kα).
Neutral-atom scattering factors, no anomalous dispersion.

Structural model:
a = 4.7354 Å, b = 5.6407 Å, c = 7.7589 Å
α = 85.33°, β = 87.26°, γ = 86.31°
Element x y z (fractional)
V 0.0000 0.0000 0.0000
V 0.0028 0.3338 0.6674
V 0.0418 0.6946 0.3475
V 0.4941 0.8335 0.6605
V 0.4976 0.1625 0.3347
V 0.5072 0.5018 0.0053
O 0.1982 0.7000 0.1053
O 0.2013 0.3760 0.4327
O 0.2028 0.0337 0.7683
O 0.3003 0.8721 0.4334
O 0.8017 0.3027 0.9014
O 0.8065 0.9631 0.2357
O 0.8087 0.6358 0.5642
F 0.3068 0.5353 0.7713
F 0.3076 0.2017 0.1011
F 0.6965 0.7998 0.8975
F 0.6978 0.1338 0.5662
F 0.7026 0.4640 0.2364

Main lines, sorted by position (5° ≤ 2θ ≤ 70°):
2theta  Rel. int.
25.64  100
27.74  98
34.85  96
39.15  25
40.62  21
51.41  66
52.68  20
53.78  54
57.29  17
60.27  19
66.80  44
67.60  12


Entry 5:
For V6O11F, a GGA+U-relaxed structure gives the simulated X-ray diffraction stick pattern in this record (copper Kα).
Neutral-atom scattering factors, no anomalous dispersion.

Structural model:
a = 2.9381 Å, b = 10.3309 Å, c = 10.3309 Å
α = 142.69°, β = 90.00°, γ = 90.00°
Element x y z (fractional)
V 0.0000 0.0000 0.0000
V 0.0000 0.3193 0.6526
V 0.0000 0.6526 0.3193
V 0.5000 0.1517 0.8178
V 0.5000 0.4686 0.4686
V 0.5000 0.8178 0.1517
O 0.0000 0.0151 0.3469
O 0.0000 0.2825 0.2825
O 0.0000 0.3469 0.0151
O 0.0000 0.6216 0.9551
O 0.0000 0.9551 0.6216
O 0.5000 0.0472 0.9168
O 0.5000 0.2525 0.7168
O 0.5000 0.3872 0.5876
O 0.5000 0.5876 0.3872
O 0.5000 0.7168 0.2525
O 0.5000 0.9168 0.0472
F 0.0000 0.6857 0.6857

Main lines, sorted by position (5° ≤ 2θ ≤ 70°):
2theta  Rel. int.
26.98  99
27.33  100
36.18  95
38.78  14
41.11  18
41.35  18
53.88  58
54.28  57
55.62  18
56.40  18
63.31  16
68.52  41


Entry 6:
For V2O3F, a GGA+U-relaxed structure gives the simulated X-ray diffraction stick pattern in this record (copper Kα).
Neutral-atom scattering factors, no anomalous dispersion.

Structural model:
a = 5.5926 Å, b = 5.5926 Å, c = 5.5926 Å
α = 114.79°, β = 110.06°, γ = 103.76°
Element x y z (fractional)
V 0.0000 0.0000 0.5000
V 0.0000 0.5000 0.0000
V 0.4545 0.2045 0.2500
V 0.5455 0.7955 0.7500
O 0.1949 0.9449 0.2500
O 0.3078 0.0000 0.8078
O 0.3078 0.5000 0.3078
O 0.6922 0.0000 0.1922
O 0.6922 0.5000 0.6922
O 0.8051 0.0551 0.7500
F 0.2015 0.4515 0.7500
F 0.7985 0.5485 0.2500

Main lines, sorted by position (5° ≤ 2θ ≤ 70°):
2theta  Rel. int.
25.80  92
27.83  100
33.00  15
35.39  91
39.70  27
41.11  18
51.99  49
53.05  14
54.27  55
57.50  16
61.54  18
67.39  36


Entry 7:
For V2OF5, a GGA+U-relaxed structure gives the simulated X-ray diffraction stick pattern in this record (copper Kα).
Neutral-atom scattering factors, no anomalous dispersion.

Structural model:
a = 4.7066 Å, b = 5.0640 Å, c = 17.3671 Å
α = 90.77°, β = 90.29°, γ = 90.11°
Element x y z (fractional)
V 0.0000 0.0000 0.0000
V 0.0005 0.5024 0.2386
V 0.4767 0.5307 0.0761
V 0.5031 0.5048 0.7392
V 0.5210 0.0077 0.5040
V 0.5274 0.0163 0.8437
V 0.9779 0.0170 0.3448
V 0.9953 0.4869 0.5753
O 0.2596 0.7968 0.0693
O 0.7363 0.1792 0.5656
O 0.7460 0.1148 0.4138
O 0.7551 0.1138 0.9138
F 0.2087 0.8273 0.2590
F 0.2182 0.3168 0.3233
F 0.2420 0.3617 0.6580
F 0.2457 0.8637 0.9136
F 0.2522 0.3092 0.4993
F 0.2525 0.8098 0.5691
F 0.2587 0.3588 0.1587
F 0.2597 0.3153 0.0011
F 0.2602 0.8710 0.4169
F 0.2862 0.3168 0.8232
F 0.2954 0.8295 0.7572
F 0.7211 0.1771 0.7542
F 0.7229 0.6762 0.8242
F 0.7405 0.6418 0.1577
F 0.7456 0.1998 0.0704
F 0.7523 0.6737 0.0021
F 0.7521 0.6818 0.5021
F 0.7573 0.6441 0.6598
F 0.7817 0.6773 0.3232
F 0.7828 0.1767 0.2545

Main lines, sorted by position (5° ≤ 2θ ≤ 70°):
2theta  Rel. int.
19.54  53
20.18  53
20.44  100
24.31  40
24.44  35
26.32  24
30.05  56
30.23  25
30.37  29
40.46  52
53.08  35
53.23  33


Entry 8:
For V4O7F5, a GGA+U-relaxed structure gives the simulated X-ray diffraction stick pattern in this record (copper Kα).
Neutral-atom scattering factors, no anomalous dispersion.

Structural model:
a = 5.2392 Å, b = 5.3267 Å, c = 9.0358 Å
α = 74.11°, β = 74.82°, γ = 61.76°
Element x y z (fractional)
V 0.0000 0.0000 0.0000
V 0.2460 0.2509 0.2275
V 0.4931 0.4846 0.4915
V 0.7466 0.7607 0.7515
O 0.2133 0.5784 0.6337
O 0.2162 0.1447 0.0724
O 0.3898 0.8958 0.8162
O 0.3975 0.3333 0.3879
O 0.7130 0.0805 0.1396
O 0.8831 0.8198 0.8832
O 0.9052 0.3868 0.3178
F 0.2512 0.6118 0.1088
F 0.3629 0.8621 0.3557
F 0.7153 0.6463 0.5654
F 0.7441 0.1143 0.6055
F 0.8393 0.3613 0.8444

Main lines, sorted by position (5° ≤ 2θ ≤ 70°):
2theta  Rel. int.
23.45  100
24.28  46
33.04  6
33.72  9
33.82  7
34.27  9
39.54  7
47.90  12
48.03  9
49.75  9
53.56  9
54.83  6